[1]
This entry pairs a crystal structure of SrO4 with its simulated XRD peak list. Radiation: Cu Kα X-rays. Structure: the GGA-PBE geometry in Alexandria.

Crystal structure
```
data_SrO4
_chemical_formula_sum 'Sr1 O4'
_symmetry_space_group_name_H-M 'P 1'
_symmetry_Int_Tables_number 1
_cell_length_a 4.284
_cell_length_b 4.291
_cell_length_c 4.575
_cell_angle_alpha 79.60
_cell_angle_beta 79.46
_cell_angle_gamma 61.45
loop_
_symmetry_equiv_pos_as_xyz
'x,y,z'
loop_
_atom_site_label
_atom_site_type_symbol
_atom_site_fract_x
_atom_site_fract_y
_atom_site_fract_z
Sr1 Sr 0.000 0.000 0.000
O1 O 0.077 0.534 0.664
O2 O 0.379 0.358 0.800
O3 O 0.464 0.923 0.338
O4 O 0.641 0.622 0.201
```

The 10 most intense peaks (2θ from 15° to 90°), in order of rising 2θ:
- 19.9 deg, I = 65
- 23.8 deg, I = 52
- 24.7 deg, I = 20
- 29.4 deg, I = 100
- 32.8 deg, I = 19
- 35.1 deg, I = 54
- 42.9 deg, I = 33
- 44.0 deg, I = 32
- 44.9 deg, I = 32
- 46.1 deg, I = 27

[2]
This entry pairs a crystal structure of Sr5Ta4O15 with its simulated XRD peak list. Radiation: Cu Kα X-rays. Structure: the GGA-PBE geometry in Alexandria.

Crystal structure
```
data_Sr5Ta4O15
_chemical_formula_sum 'Sr10 Ta8 O30'
_symmetry_space_group_name_H-M 'P -3 c 1'
_symmetry_Int_Tables_number 165
_symmetry_space_group_name_Hall '-P 3 2"c'
_cell_length_a 5.7113
_cell_length_b 5.7113
_cell_length_c 23.3609
_cell_angle_alpha 90.00
_cell_angle_beta 90.00
_cell_angle_gamma 120.00
loop_
_atom_site_label
_atom_site_type_symbol
_atom_site_fract_x
_atom_site_fract_y
_atom_site_fract_z
Sr1 Sr 0.0000 0.0000 0.2500
Sr2 Sr 0.3333 0.6667 0.1395
Sr3 Sr 0.3333 0.6667 0.4729
Ta1 Ta 0.0000 0.0000 0.0928
Ta2 Ta 0.3333 0.6667 0.3019
O1 O 0.0000 0.4580 0.2500
O2 O 0.0955 0.3304 0.0566
O3 O 0.1189 0.3305 0.8451
```

The 10 most intense peaks (2θ from 15° to 90°), in order of rising 2θ:
- 19.5 deg, I = 14
- 23.6 deg, I = 25
- 29.2 deg, I = 100
- 31.3 deg, I = 81
- 43.3 deg, I = 48
- 50.4 deg, I = 31
- 54.4 deg, I = 36
- 55.8 deg, I = 19
- 69.8 deg, I = 19
- 73.1 deg, I = 15

[3]
This entry pairs a crystal structure of Sr5Ta4O15 with its simulated XRD peak list. Radiation: Cu Kα X-rays. Structure: the GGA-PBE geometry in Alexandria.

Crystal structure
```
data_Sr5Ta4O15
_chemical_formula_sum 'Sr5 Ta4 O15'
_symmetry_space_group_name_H-M 'P -3 m 1'
_symmetry_Int_Tables_number 164
_symmetry_space_group_name_Hall '-P 3 2"'
_cell_length_a 5.7156
_cell_length_b 5.7156
_cell_length_c 11.6652
_cell_angle_alpha 90.00
_cell_angle_beta 90.00
_cell_angle_gamma 120.00
loop_
_atom_site_label
_atom_site_type_symbol
_atom_site_fract_x
_atom_site_fract_y
_atom_site_fract_z
Sr1 Sr 0.0000 0.0000 0.0000
Sr2 Sr 0.3333 0.6667 0.4416
Sr3 Sr 0.3333 0.6667 0.7773
Ta1 Ta 0.0000 0.0000 0.3168
Ta2 Ta 0.3333 0.6667 0.1042
O1 O 0.0000 0.5000 0.0000
O2 O 0.1651 0.3303 0.1924
O3 O 0.1685 0.3370 0.6095
```

The 10 most intense peaks (2θ from 15° to 90°), in order of rising 2θ:
- 19.5 deg, I = 16
- 23.6 deg, I = 24
- 29.2 deg, I = 100
- 31.3 deg, I = 84
- 43.3 deg, I = 51
- 50.4 deg, I = 31
- 54.4 deg, I = 36
- 55.7 deg, I = 17
- 65.3 deg, I = 16
- 69.8 deg, I = 20

[4]
This entry pairs a crystal structure of SrTa4O11 with its simulated XRD peak list. Radiation: Cu Kα X-rays. Structure: the GGA-PBE geometry in Alexandria.

Crystal structure
```
data_SrTa4O11
_chemical_formula_sum 'Sr2 Ta8 O22'
_symmetry_space_group_name_H-M 'P 63 2 2'
_symmetry_Int_Tables_number 182
_symmetry_space_group_name_Hall 'P 6c 2c'
_cell_length_a 6.3241
_cell_length_b 6.3241
_cell_length_c 12.4539
_cell_angle_alpha 90.00
_cell_angle_beta 90.00
_cell_angle_gamma 120.00
loop_
_atom_site_label
_atom_site_type_symbol
_atom_site_fract_x
_atom_site_fract_y
_atom_site_fract_z
Sr1 Sr 0.3333 0.6667 0.2500
Ta1 Ta 0.0000 0.3557 0.5000
Ta2 Ta 0.3333 0.6667 0.7500
O1 O 0.0000 0.2433 0.0000
O2 O 0.0625 0.4343 0.6542
O3 O 0.3333 0.6667 0.0339
```

The 10 most intense peaks (2θ from 15° to 90°), in order of rising 2θ:
- 16.2 deg, I = 39
- 28.7 deg, I = 53
- 29.1 deg, I = 100
- 31.7 deg, I = 96
- 35.7 deg, I = 37
- 46.4 deg, I = 25
- 50.0 deg, I = 38
- 52.8 deg, I = 29
- 58.6 deg, I = 41
- 81.2 deg, I = 16

[5]
This entry pairs a crystal structure of Sr3Ta5O15 with its simulated XRD peak list. Radiation: Cu Kα X-rays. Structure: the GGA-PBE geometry in Alexandria.

Crystal structure
```
data_Sr3Ta5O15
_chemical_formula_sum 'Sr6 Ta10 O30'
_symmetry_space_group_name_H-M 'P 4/m b m'
_symmetry_Int_Tables_number 127
_symmetry_space_group_name_Hall '-P 4 2ab'
_cell_length_a 12.590
_cell_length_b 12.590
_cell_length_c 3.976
_cell_angle_alpha 90.00
_cell_angle_beta 90.00
_cell_angle_gamma 90.00
loop_
_atom_site_label
_atom_site_type_symbol
_atom_site_fract_x
_atom_site_fract_y
_atom_site_fract_z
Sr1 Sr 0.000 0.000 0.000
Sr2 Sr 0.163 0.337 0.000
Ta1 Ta 0.000 0.500 0.500
Ta2 Ta 0.081 0.790 0.500
O1 O 0.000 0.500 0.000
O2 O 0.008 0.341 0.500
O3 O 0.062 0.136 0.500
O4 O 0.082 0.794 0.000
O5 O 0.230 0.730 0.500
```

The 10 most intense peaks (2θ from 15° to 90°), in order of rising 2θ:
- 22.3 deg, I = 56
- 25.5 deg, I = 41
- 27.5 deg, I = 37
- 29.2 deg, I = 50
- 31.8 deg, I = 100
- 34.2 deg, I = 23
- 45.6 deg, I = 37
- 51.3 deg, I = 40
- 55.1 deg, I = 17
- 56.7 deg, I = 43